1.
Simulated powder XRD pattern
Compound: TiIrSe
Radiation: Cu Kα X-rays
Structure: a DFT-relaxed cell (PBE, Alexandria)
Intensities are scaled so that the largest is 100.

Cell and atoms:
```
data_TiIrSe
_cell_length_a 3.2294
_cell_length_b 6.1253
_cell_length_c 6.3128
_cell_angle_alpha 117.09
_cell_angle_beta 97.74
_cell_angle_gamma 92.71
_space_group_name_H-M_alt 'P -1'
_space_group_IT_number 2
_space_group_name_Hall '-P 1'
loop_
_atom_site_label
_atom_site_type_symbol
_atom_site_fract_x
_atom_site_fract_y
_atom_site_fract_z
Ti1 Ti 0.0516 0.3982 0.1840
Ir1 Ir 0.4488 0.2577 0.8325
Se1 Se 0.4167 0.7927 0.6158
```

Main lines, low angle first (5 to 70 degrees two-theta):
(hkl)  2θ (°)  I (rel.)
0 1 -1  16.74  100.0
1 0 0  28.10  82.7
0 1 -2  28.58  65.7
0 2 0  33.11  77.8
1 -1 1  33.59  59.6
1 1 -2  37.74  84.7
1 -2 0  41.07  32.3
0 1 2  43.12  68.6
1 2 0  46.71  42.7
-1 1 2  47.41  32.5

---

2.
Simulated powder XRD pattern
Compound: Tl2IrSe
Radiation: Cu Kα X-rays
Structure: a DFT-relaxed cell (PBE, Alexandria)
Intensities are scaled so that the largest is 100.

Cell and atoms:
```
data_Tl2IrSe
_cell_length_a 3.6931
_cell_length_b 5.4329
_cell_length_c 10.3062
_cell_angle_alpha 90.00
_cell_angle_beta 90.00
_cell_angle_gamma 90.00
_space_group_name_H-M_alt 'A m m 2'
_space_group_IT_number 38
_space_group_name_Hall 'A 2 -2'
loop_
_atom_site_label
_atom_site_type_symbol
_atom_site_fract_x
_atom_site_fract_y
_atom_site_fract_z
Tl1 Tl 0.0000 0.0000 0.0000
Tl2 Tl 0.5000 0.0000 0.3093
Ir1 Ir 0.0000 0.0000 0.5233
Se1 Se 0.5000 0.0000 0.6752
```

Main lines, low angle first (5 to 70 degrees two-theta):
(hkl)  2θ (°)  I (rel.)
0 0 2  17.21  18.6
0 1 1  18.46  15.3
1 0 2  29.76  100.0
1 1 1  30.53  18.9
0 1 3  30.79  28.2
0 2 0  32.97  49.5
0 0 4  34.82  16.6
1 2 2  45.01  65.6
2 0 0  49.35  16.2
2 2 0  60.64  17.6

---

3.
Simulated powder XRD pattern
Compound: Tl2IrSe
Radiation: Cu Kα X-rays
Structure: a DFT-relaxed cell (PBE, Alexandria)
Intensities are scaled so that the largest is 100.

Cell and atoms:
```
data_Tl2IrSe
_cell_length_a 3.1648
_cell_length_b 4.2729
_cell_length_c 14.8152
_cell_angle_alpha 90.00
_cell_angle_beta 90.00
_cell_angle_gamma 90.00
_space_group_name_H-M_alt 'I m m m'
_space_group_IT_number 71
_space_group_name_Hall '-I 2 2'
loop_
_atom_site_label
_atom_site_type_symbol
_atom_site_fract_x
_atom_site_fract_y
_atom_site_fract_z
Tl1 Tl 0.0000 0.0000 0.1708
Ir1 Ir 0.0000 0.5000 0.5000
Se1 Se 0.0000 0.5000 0.0000
```

Main lines, low angle first (5 to 70 degrees two-theta):
(hkl)  2θ (°)  I (rel.)
0 1 1  21.65  74.8
0 1 3  27.61  39.1
1 0 3  33.63  72.2
0 0 6  36.39  50.1
1 1 2  37.39  100.0
0 2 0  42.30  33.6
1 1 4  43.15  52.8
1 2 3  55.10  36.5
0 2 6  57.00  27.8
1 1 8  61.99  28.2

---

4.
Simulated powder XRD pattern
Compound: TlIr2Se
Radiation: Cu Kα X-rays
Structure: a DFT-relaxed cell (PBE, Alexandria)
Intensities are scaled so that the largest is 100.

Cell and atoms:
```
data_TlIr2Se
_cell_length_a 3.0049
_cell_length_b 3.0049
_cell_length_c 8.7493
_cell_angle_alpha 90.00
_cell_angle_beta 90.00
_cell_angle_gamma 90.00
_space_group_name_H-M_alt 'P 4 m m'
_space_group_IT_number 99
_space_group_name_Hall 'P 4 -2'
loop_
_atom_site_label
_atom_site_type_symbol
_atom_site_fract_x
_atom_site_fract_y
_atom_site_fract_z
Tl1 Tl 0.0000 0.0000 0.0000
Ir1 Ir 0.0000 0.0000 0.4539
Ir2 Ir 0.5000 0.5000 0.2510
Se1 Se 0.5000 0.5000 0.6227
```

Main lines, low angle first (5 to 70 degrees two-theta):
(hkl)  2θ (°)  I (rel.)
0 0 1  10.11  54.4
0 0 2  20.30  9.6
1 0 2  36.27  100.0
0 0 4  41.27  9.4
1 1 0  42.55  42.3
1 0 3  43.23  28.8
1 0 4  51.69  6.8
1 1 4  60.77  12.3
2 0 0  61.74  14.2
1 1 5  69.60  10.9